Er5Hg2: calculated powder XRD pattern (a wavelength of 1.5418 Å), based on the GGA-PBE geometry in Alexandria.

Top 8 peaks for 10° ≤ 2θ ≤ 80°, low angle first:
29.79°, rel. 31.2, (1 1 -2)
30.18°, rel. 25.7, (2 2 1)
30.39°, rel. 53.6, (5 1 0)
33.23°, rel. 100.0, (4 2 0)
33.44°, rel. 27.0, (6 0 0)
34.55°, rel. 57.5, (4 0 -2)
35.14°, rel. 68.4, (4 0 2)
36.46°, rel. 94.4, (0 2 2)

Crystal structure
a = 16.086 Å, b = 7.268 Å, c = 6.706 Å
α = 90.00°, β = 90.96°, γ = 90.00°
Space group C2/c (No. 15)
Unique sites:
Er 0.000 0.003 0.250 (multiplicity 4)
Er 0.094 0.351 0.505 (multiplicity 8)
Er 0.228 0.026 0.760 (multiplicity 8)
Hg 0.113 0.253 0.013 (multiplicity 8)